Computed XRD peak list
Compound: NdCd
Radiation: copper Kα
Structure: a cell relaxed with GGA-PBE
Kinematic intensities with the Lorentz-polarization factor, no thermal factor.

Peak list (7 most intense, 10° ≤ 2θ ≤ 80°, low angle first)
23.05°, I 2, (1 0 0); 32.83°, I 100, (1 1 0); 47.11°, I 18, (2 0 0); 53.08°, I 1, (2 1 0); 58.61°, I 37, (2 1 1); 68.83°, I 11, (2 2 0); 78.37°, I 16, (3 1 0)

Crystal structure
a b c (Å): 3.858 3.858 3.858
angles (deg): 90.00 90.00 90.00
Space group Pm-3m (No. 221)
Symmetry-distinct sites (fractional):
1 Nd 0.000 0.000 0.000 [1 per cell]
2 Cd 0.500 0.500 0.500 [1 per cell]


Computed XRD peak list
Compound: Tm2TlPb9
Radiation: copper Kα
Structure: a cell relaxed with GGA-PBE
Kinematic intensities with the Lorentz-polarization factor, no thermal factor.

Peak list (10 most intense, 10° ≤ 2θ ≤ 80°, low angle first)
31.53°, I 100, (1 1 3); 35.89°, I 17, (0 0 6); 36.91°, I 34, (2 0 0); 52.43°, I 23, (2 0 6); 53.19°, I 12, (2 2 0); 61.79°, I 13, (1 1 9); 63.16°, I 28, (3 1 3); 65.83°, I 12, (2 2 6); 76.07°, I 2, (0 0 12); 78.56°, I 4, (4 0 0)

Crystal structure
a b c (Å): 4.871 4.871 15.015
angles (deg): 90.00 90.00 90.00
Space group P4/mmm (No. 123)
Symmetry-distinct sites (fractional):
1 Tm 0.000 0.000 0.152 [2 per cell]
2 Tl 0.000 0.000 0.500 [1 per cell]
3 Pb 0.000 0.500 0.000 [2 per cell]
4 Pb 0.000 0.500 0.327 [4 per cell]
5 Pb 0.500 0.500 0.165 [2 per cell]
6 Pb 0.500 0.500 0.500 [1 per cell]


Computed XRD peak list
Compound: Dy3Ga4Cu4
Radiation: copper Kα
Structure: a cell relaxed with GGA-PBE
Kinematic intensities with the Lorentz-polarization factor, no thermal factor.

Peak list (10 most intense, 10° ≤ 2θ ≤ 80°, low angle first)
32.99°, I 15, (1 1 2); 33.90°, I 49, (1 0 4); 35.09°, I 100, (1 1 -1); 37.56°, I 16, (0 1 5); 43.42°, I 28, (0 2 1); 43.60°, I 35, (0 1 -5); 48.99°, I 20, (2 0 1); 51.36°, I 12, (1 0 7); 67.53°, I 19, (2 2 2); 67.66°, I 13, (-2 1 5)

Crystal structure
a b c (Å): 3.719 4.168 13.454
angles (deg): 81.23 82.07 89.99
Space group P-1 (No. 2)
Symmetry-distinct sites (fractional):
1 Dy 0.000 0.000 0.000 [1 per cell]
2 Dy 0.147 0.647 0.706 [2 per cell]
3 Ga 0.253 0.254 0.492 [2 per cell]
4 Ga 0.405 0.905 0.192 [2 per cell]
5 Cu 0.311 0.811 0.379 [2 per cell]
6 Cu 0.455 0.453 0.094 [2 per cell]


Computed XRD peak list
Compound: Sm2SbRh
Radiation: copper Kα
Structure: a cell relaxed with GGA-PBE
Kinematic intensities with the Lorentz-polarization factor, no thermal factor.

Peak list (10 most intense, 10° ≤ 2θ ≤ 80°, low angle first)
30.49°, I 74, (1 1 1); 30.92°, I 100, (0 1 2); 31.05°, I 53, (2 0 -2); 32.18°, I 20, (1 0 -3); 37.49°, I 93, (2 1 0); 38.49°, I 53, (1 1 -3); 41.85°, I 42, (0 2 0); 43.09°, I 29, (1 0 3); 53.00°, I 39, (2 2 -2); 61.62°, I 20, (1 2 3)

Crystal structure
a b c (Å): 6.209 4.318 8.379
angles (deg): 90.00 111.50 90.00
Space group P2_1/m (No. 11)
Symmetry-distinct sites (fractional):
1 Sm 0.173 0.250 0.401 [2 per cell]
2 Sm 0.258 0.750 0.050 [2 per cell]
3 Sb 0.382 0.750 0.706 [2 per cell]
4 Rh 0.129 0.250 0.792 [2 per cell]